Structure and calculated powder XRD pattern of FeN3Cl5 (a PBE-relaxed structure; Cu Kα, 1.54184 Å).
Lines closer than 0.1° are merged.

Structure:
abc: 8.754 8.728 14.785
angles: 90.00 90.00 90.00
Space group Pnma (No. 62)
Asymmetric unit:
Fe (0.189, 0.250, 0.112) (multiplicity 4)
N (0.041, 0.750, 0.361) (multiplicity 4)
N (0.200, 0.118, 0.806) (multiplicity 8)
Cl (0.003, 0.250, 0.020) (multiplicity 4)
Cl (0.188, 0.250, 0.256) (multiplicity 4)
Cl (0.197, 0.750, 0.328) (multiplicity 4)
Cl (0.211, 0.534, 0.583) (multiplicity 8)

Top 10 peaks for 2θ from 10° to 90°, most intense first:
d 5.703, 15.54°, I = 1000, (1 1 1)
d 4.372, 20.31°, I = 657, (2 0 0)
d 3.405, 26.17°, I = 455, (1 0 4)
d 3.853, 23.08°, I = 360, (1 1 3)
d 5.648, 15.69°, I = 288, (1 0 2)
d 3.025, 29.53°, I = 273, (2 2 1)
d 2.851, 31.37°, I = 234, (2 2 2)
d 4.742, 18.71°, I = 219, (1 1 2)
d 3.777, 23.55°, I = 186, (1 2 1)
d 7.525, 11.76°, I = 171, (1 0 1)


Structure and calculated powder XRD pattern of BaCdGaF7 (a PBE-relaxed structure; Cu Kα, 1.54184 Å).
Lines closer than 0.1° are merged.

Structure:
abc: 14.138 5.452 15.242
angles: 90.00 91.60 90.00
Space group C2/c (No. 15)
Asymmetric unit:
Ba (0.191, 0.036, 0.123) (multiplicity 8)
Cd (0.000, 0.456, 0.750) (multiplicity 4)
Cd (0.000, 0.500, 0.000) (multiplicity 4)
Ga (0.123, 0.010, 0.875) (multiplicity 8)
F (0.004, 0.114, 0.653) (multiplicity 8)
F (0.063, 0.398, 0.129) (multiplicity 8)
F (0.088, 0.158, 0.480) (multiplicity 8)
F (0.123, 0.268, 0.300) (multiplicity 8)
F (0.136, 0.303, 0.950) (multiplicity 8)
F (0.163, 0.217, 0.778) (multiplicity 8)
F (0.249, 0.446, 0.593) (multiplicity 8)

Top 10 peaks for 2θ from 10° to 90°, most intense first:
d 3.564, 24.98°, I = 1000, (3 1 0)
d 3.064, 29.15°, I = 405, (1 1 -4)
d 3.034, 29.44°, I = 356, (1 1 4)
d 1.695, 54.11°, I = 259, (3 1 -8)
d 3.393, 26.27°, I = 249, (2 0 -4)
d 2.726, 32.86°, I = 236, (0 2 0)
d 3.314, 26.90°, I = 208, (2 0 4)
d 2.120, 42.65°, I = 169, (5 1 -4)
d 2.105, 42.96°, I = 139, (2 2 4)
d 3.255, 27.40°, I = 137, (3 1 -2)


Structure and calculated powder XRD pattern of Ca3Sn2S7 (a PBE-relaxed structure; Cu Kα, 1.54184 Å).
Lines closer than 0.1° are merged.

Structure:
abc: 27.832 6.517 14.425
angles: 90.00 90.00 90.00
Space group Ima2 (No. 46)
Asymmetric unit:
Ca (0.000, 0.000, 0.000) (multiplicity 4)
Ca (0.107, 0.001, 0.733) (multiplicity 8)
Ca (0.171, 0.504, 0.514) (multiplicity 8)
Ca (0.250, 0.508, 0.783) (multiplicity 4)
Sn (0.000, 0.000, 0.240) (multiplicity 4)
Sn (0.106, 0.062, 0.422) (multiplicity 8)
Sn (0.250, 0.573, 0.101) (multiplicity 4)
S (0.039, 0.249, 0.842) (multiplicity 8)
S (0.048, 0.707, 0.644) (multiplicity 8)
S (0.095, 0.235, 0.567) (multiplicity 8)
S (0.095, 0.701, 0.410) (multiplicity 8)
S (0.171, 0.240, 0.347) (multiplicity 8)
S (0.183, 0.743, 0.177) (multiplicity 8)
S (0.250, 0.207, 0.104) (multiplicity 4)
S (0.250, 0.742, 0.950) (multiplicity 4)

Top 10 peaks for 2θ from 10° to 90°, most intense first:
d 3.382, 26.36°, I = 1000, (4 1 3)
d 3.656, 24.35°, I = 672, (6 1 1)
d 5.008, 17.71°, I = 607, (4 0 2)
d 3.005, 29.73°, I = 412, (3 2 1)
d 6.404, 13.83°, I = 318, (2 0 2)
d 2.380, 37.80°, I = 310, (8 2 0)
d 5.463, 16.23°, I = 290, (2 1 1)
d 1.843, 49.45°, I = 259, (7 3 2)
d 5.939, 14.92°, I = 257, (0 1 1)
d 1.978, 45.87°, I = 228, (8 0 6)


Please write out number 3 again, unchanged.
Structure and calculated powder XRD pattern of Ca3Sn2S7 (a PBE-relaxed structure; Cu Kα, 1.54184 Å).
Lines closer than 0.1° are merged.

Structure:
abc: 27.832 6.517 14.425
angles: 90.00 90.00 90.00
Space group Ima2 (No. 46)
Asymmetric unit:
Ca (0.000, 0.000, 0.000) (multiplicity 4)
Ca (0.107, 0.001, 0.733) (multiplicity 8)
Ca (0.171, 0.504, 0.514) (multiplicity 8)
Ca (0.250, 0.508, 0.783) (multiplicity 4)
Sn (0.000, 0.000, 0.240) (multiplicity 4)
Sn (0.106, 0.062, 0.422) (multiplicity 8)
Sn (0.250, 0.573, 0.101) (multiplicity 4)
S (0.039, 0.249, 0.842) (multiplicity 8)
S (0.048, 0.707, 0.644) (multiplicity 8)
S (0.095, 0.235, 0.567) (multiplicity 8)
S (0.095, 0.701, 0.410) (multiplicity 8)
S (0.171, 0.240, 0.347) (multiplicity 8)
S (0.183, 0.743, 0.177) (multiplicity 8)
S (0.250, 0.207, 0.104) (multiplicity 4)
S (0.250, 0.742, 0.950) (multiplicity 4)

Top 10 peaks for 2θ from 10° to 90°, most intense first:
d 3.382, 26.36°, I = 1000, (4 1 3)
d 3.656, 24.35°, I = 672, (6 1 1)
d 5.008, 17.71°, I = 607, (4 0 2)
d 3.005, 29.73°, I = 412, (3 2 1)
d 6.404, 13.83°, I = 318, (2 0 2)
d 2.380, 37.80°, I = 310, (8 2 0)
d 5.463, 16.23°, I = 290, (2 1 1)
d 1.843, 49.45°, I = 259, (7 3 2)
d 5.939, 14.92°, I = 257, (0 1 1)
d 1.978, 45.87°, I = 228, (8 0 6)